Diffraction record for Ba10Pr5Sn2Sb3O30. The powder diffractogram is calculated, not measured: it uses a PBE-relaxed structure and Cu Kα (weighted mean of Kα1 and Kα2).
Peak positions follow from Bragg's law for the DFT cell and can differ from measured ones.

Largest 12 diffraction maxima, in order of rising 2θ, 2θ from 15° to 90°:
d (Å)  Rel. int.  index
3.092  100.0  2 3 0
3.083  20.0  0 3 1
2.188  23.4  4 2 2
2.181  11.6  0 4 -2
1.787  17.0  4 1 5
1.784  21.1  2 4 -3
1.782  8.1  2 5 4
1.547  14.5  4 4 6
1.543  7.4  4 6 0
1.384  9.2  6 4 5
1.170  11.3  2 0 9
1.167  6.5  4 -5 3

Crystal structure
Lattice parameters (Å, degrees): 8.759 10.675 10.718 80.40 65.90 65.93
Space group P-1 (No. 2)
Unique sites:
Ba1 0.050 0.300 0.100 (multiplicity 2)
Ba2 0.151 0.900 0.300 (multiplicity 2)
Ba3 0.252 0.500 0.500 (multiplicity 2)
Ba4 0.350 0.101 0.700 (multiplicity 2)
Ba5 0.450 0.699 0.900 (multiplicity 2)
Pr1 0.099 0.600 0.202 (multiplicity 2)
Pr2 0.299 0.801 0.601 (multiplicity 2)
Pr3 0.500 0.000 0.000 (multiplicity 1)
Sn1 0.400 0.400 0.799 (multiplicity 2)
Sb1 0.000 0.000 0.000 (multiplicity 1)
Sb2 0.200 0.200 0.400 (multiplicity 2)
O1 0.017 0.823 0.106 (multiplicity 2)
O2 0.022 0.794 0.621 (multiplicity 2)
O3 0.042 0.306 0.576 (multiplicity 2)
O4 0.158 0.894 0.824 (multiplicity 2)
O5 0.171 0.407 0.779 (multiplicity 2)
O6 0.182 0.377 0.295 (multiplicity 2)
O7 0.218 0.023 0.505 (multiplicity 2)
O8 0.223 0.993 0.021 (multiplicity 2)
O9 0.237 0.510 0.982 (multiplicity 2)
O10 0.359 0.094 0.223 (multiplicity 2)
O11 0.372 0.607 0.177 (multiplicity 2)
O12 0.382 0.583 0.690 (multiplicity 2)
O13 0.418 0.218 0.909 (multiplicity 2)
O14 0.423 0.193 0.421 (multiplicity 2)
O15 0.436 0.710 0.383 (multiplicity 2)